Simulated PXRD pattern
Compound: CoCuP2O7
Radiation: a wavelength of 1.5418 Å
Structure: DFT lattice parameters and positions (PBE+U)

Crystal structure
Cell lengths 4.642, 5.259, 5.547 Å; angles 100.53, 102.18, 101.37 degrees
Atoms (fractional coordinates):
Co1 0.000 0.000 0.000
Cu1 0.024 0.338 0.584
P1 0.437 0.854 0.483
P2 0.614 0.450 0.074
O1 0.251 0.701 0.631
O2 0.262 0.015 0.335
O3 0.303 0.278 0.901
O4 0.538 0.637 0.298
O5 0.742 0.038 0.656
O6 0.791 0.616 0.933
O7 0.801 0.275 0.206

Most intense lines, 5° ≤ 2θ ≤ 70°, sorted by position:
d/Å	2θ/deg	I_rel	h k l
4.399	20.19	125	1 0 0
3.149	28.34	803	-1 1 1
3.018	29.59	1000	1 1 -1
2.965	30.14	198	1 1 0
2.636	34.02	168	0 0 2
2.503	35.87	155	0 2 -1